1.
Structure and computed X-ray diffraction stick pattern of Ca2AlZn2Pt5 (a PBE-relaxed structure; Cu Ka).
Peak positions follow from Bragg's law for the DFT cell and can differ from measured ones.

Largest 10 diffraction maxima, low angle first, 2θ from 5° to 70°:
Position (°2θ)  I_rel
20.4  210
24.3  393
29.0  183
38.1  1000
39.2  150
41.5  435
44.7  125
45.7  238
49.7  174
64.3  142

Structural model:
a b c (Å): 9.740 9.740 3.669
angles (deg): 90.00 90.00 90.00
Positions (direct):
Ca1 0.174 0.326 0.000
Ca2 0.326 0.826 0.000
Ca3 0.674 0.174 0.000
Ca4 0.826 0.674 0.000
Al1 0.000 0.000 0.000
Al2 0.500 0.500 0.000
Zn1 0.127 0.627 0.000
Zn2 0.373 0.127 0.000
Zn3 0.627 0.873 0.000
Zn4 0.873 0.373 0.000
Pt1 0.000 0.500 0.500
Pt2 0.062 0.802 0.500
Pt3 0.198 0.062 0.500
Pt4 0.302 0.562 0.500
Pt5 0.438 0.302 0.500
Pt6 0.500 0.000 0.500
Pt7 0.562 0.698 0.500
Pt8 0.698 0.438 0.500
Pt9 0.802 0.938 0.500
Pt10 0.938 0.198 0.500

=====

2.
Structure and computed X-ray diffraction stick pattern of DyTh2Ag6 (a PBE-relaxed structure; Cu Ka).
Peak positions follow from Bragg's law for the DFT cell and can differ from measured ones.

Largest 10 diffraction maxima, low angle first, 2θ from 5° to 70°:
Position (°2θ)  I_rel
21.1  125
34.0  1000
37.1  729
43.0  22
51.2  313
54.1  80
58.1  20
64.8  305
66.8  126
67.4  245

Structural model:
a b c (Å): 8.405 8.405 3.388
angles (deg): 90.00 90.00 120.00
Positions (direct):
Dy1 0.000 0.000 0.000
Th1 0.333 0.667 0.000
Th2 0.667 0.333 0.000
Ag1 0.000 0.331 0.500
Ag2 0.000 0.669 0.500
Ag3 0.331 0.000 0.500
Ag4 0.331 0.331 0.500
Ag5 0.669 0.000 0.500
Ag6 0.669 0.669 0.500

=====

3.
Structure and computed X-ray diffraction stick pattern of TbPd4 (a PBE-relaxed structure; Cu Ka).
Peak positions follow from Bragg's law for the DFT cell and can differ from measured ones.

Largest 10 diffraction maxima, low angle first, 2θ from 5° to 70°:
Position (°2θ)  I_rel
38.0  909
38.3  1000
40.8  382
41.1  424
42.4  163
50.7  180
59.3  251
65.1  110
67.2  152
67.4  88

Structural model:
a b c (Å): 7.827 7.827 7.827
angles (deg): 147.43 137.03 54.95
Positions (direct):
Tb1 0.356 0.106 0.250
Tb2 0.644 0.894 0.750
Pd1 0.000 0.500 0.500
Pd2 0.141 0.891 0.250
Pd3 0.185 0.696 0.489
Pd4 0.293 0.304 0.989
Pd5 0.500 0.500 0.000
Pd6 0.707 0.696 0.011
Pd7 0.815 0.304 0.511
Pd8 0.859 0.109 0.750

=====

4.
Structure and computed X-ray diffraction stick pattern of V6OsRu (a PBE-relaxed structure; Cu Ka).
Peak positions follow from Bragg's law for the DFT cell and can differ from measured ones.

Largest 10 diffraction maxima, low angle first, 2θ from 5° to 70°:
Position (°2θ)  I_rel
18.6  114
26.4  541
32.4  41
37.6  463
42.3  404
46.5  1000
54.3  81
57.9  33
61.3  114
64.7  19

Structural model:
a b c (Å): 4.781 4.781 4.781
angles (deg): 90.00 90.00 90.00
Positions (direct):
V1 0.000 0.250 0.500
V2 0.000 0.750 0.500
V3 0.250 0.500 0.000
V4 0.500 0.000 0.250
V5 0.500 0.000 0.750
V6 0.750 0.500 0.000
Os1 0.500 0.500 0.500
Ru1 0.000 0.000 0.000